1.
This entry pairs a crystal structure of Tl3MoCl8 with its simulated powder X-ray diffraction pattern. Radiation: Cu Kα, 1.54184 Å. Structure: a DFT-relaxed cell (GGA-PBE, Alexandria).

Cell and atoms:
```
Tl3MoCl8
1.0
9.3043 0.0000 0.0000
-4.6521 8.0577 0.0000
0.0000 0.0000 9.6524
Tl Mo Cl
6 2 16
Direct
0.1510 0.3019 0.0000 Tl
0.1510 0.8490 0.0000 Tl
0.3019 0.1510 0.5000 Tl
0.6981 0.8490 0.0000 Tl
0.8490 0.1510 0.5000 Tl
0.8490 0.6981 0.5000 Tl
0.3333 0.6667 0.4926 Mo
0.6667 0.3333 0.9926 Mo
0.0000 0.0000 0.2764 Cl
0.0000 0.0000 0.7764 Cl
0.0934 0.5467 0.3569 Cl
0.2132 0.4265 0.6351 Cl
0.2132 0.7868 0.6351 Cl
0.3333 0.6667 0.0207 Cl
0.4265 0.2132 0.1351 Cl
0.4533 0.5467 0.3569 Cl
0.4533 0.9066 0.3569 Cl
0.5467 0.0934 0.8569 Cl
0.5467 0.4533 0.8569 Cl
0.5735 0.7868 0.6351 Cl
0.6667 0.3333 0.5207 Cl
0.7868 0.2132 0.1351 Cl
0.7868 0.5735 0.1351 Cl
0.9066 0.4533 0.8569 Cl
```

Principal peaks in the range 2θ from 10° to 90°, most intense first:
23.93°, I = 1000; 18.38°, I = 499; 35.71°, I = 488; 28.87°, I = 416; 43.17°, I = 309; 38.71°, I = 298; 30.79°, I = 213; 22.06°, I = 182; 54.82°, I = 165; 52.57°, I = 154

2.
This entry pairs a crystal structure of V2Mo2Cl7 with its simulated powder X-ray diffraction pattern. Radiation: Cu Kα, 1.54184 Å. Structure: a DFT-relaxed cell (GGA-PBE, Alexandria).

Cell and atoms:
```
V2Mo2Cl7
1.0
4.8493 -8.1721 0.0000
4.8493 8.1721 0.0000
-2.6030 0.0000 7.2917
V Mo Cl
4 4 14
Direct
0.0062 0.2300 0.3371 V
0.2300 0.0062 0.8371 V
0.7700 0.9938 0.1629 V
0.9938 0.7700 0.6629 V
0.0159 0.1093 0.9361 Mo
0.1093 0.0159 0.4361 Mo
0.8907 0.9841 0.5639 Mo
0.9841 0.8907 0.0639 Mo
0.0227 0.7205 0.3640 Cl
0.0892 0.3882 0.1356 Cl
0.2399 0.7601 0.7500 Cl
0.2795 0.9773 0.1360 Cl
0.2810 0.3097 0.4718 Cl
0.3097 0.2810 0.9718 Cl
0.3882 0.0892 0.6356 Cl
0.6118 0.9108 0.3644 Cl
0.6903 0.7190 0.0282 Cl
0.7190 0.6903 0.5282 Cl
0.7205 0.0227 0.8640 Cl
0.7601 0.2399 0.2500 Cl
0.9108 0.6118 0.8644 Cl
0.9773 0.2795 0.6360 Cl
```

Principal peaks in the range 2θ from 10° to 90°, most intense first:
11.10°, I = 1000; 10.83°, I = 247; 33.69°, I = 104; 26.78°, I = 99; 39.27°, I = 83; 37.25°, I = 75; 29.14°, I = 49; 43.38°, I = 43; 45.10°, I = 43; 38.33°, I = 43

3.
This entry pairs a crystal structure of ZnMoCl6 with its simulated powder X-ray diffraction pattern. Radiation: Cu Kα, 1.54184 Å. Structure: a DFT-relaxed cell (GGA-PBE, Alexandria).

Cell and atoms:
```
ZnMoCl6
1.0
3.0992 1.7893 5.5481
-3.0992 1.7893 5.5481
0.0000 -3.5787 5.5481
Zn Mo Cl
1 1 6
Direct
0.0000 0.0000 0.0000 Zn
0.5000 0.5000 0.5000 Mo
0.1055 0.7406 0.4070 Cl
0.2594 0.5930 0.8945 Cl
0.4070 0.1055 0.7406 Cl
0.5930 0.8945 0.2594 Cl
0.7406 0.4070 0.1055 Cl
0.8945 0.2594 0.5930 Cl
```

Principal peaks in the range 2θ from 10° to 90°, most intense first:
19.68°, I = 1000; 33.11°, I = 554; 43.80°, I = 530; 27.11°, I = 337; 51.04°, I = 297; 39.97°, I = 178; 46.05°, I = 172; 50.01°, I = 147; 35.13°, I = 142; 58.06°, I = 138

4.
This entry pairs a crystal structure of NaNCl with its simulated powder X-ray diffraction pattern. Radiation: Cu Kα, 1.54184 Å. Structure: a DFT-relaxed cell (GGA-PBE, Alexandria).

Cell and atoms:
```
NaNCl
1.0
4.0039 -2.3615 0.0000
4.0039 2.3615 0.0000
-2.3914 0.0000 9.5907
Na N Cl
2 2 2
Direct
0.1241 0.1241 0.3578 Na
0.8759 0.8759 0.6422 Na
0.3795 0.3795 0.1431 N
0.6205 0.6205 0.8569 N
0.2157 0.2157 0.6520 Cl
0.7843 0.7843 0.3480 Cl
```

Principal peaks in the range 2θ from 10° to 90°, most intense first:
22.84°, I = 1000; 38.76°, I = 849; 38.09°, I = 596; 27.91°, I = 392; 37.51°, I = 337; 47.85°, I = 316; 33.50°, I = 287; 30.70°, I = 280; 18.50°, I = 256; 27.03°, I = 229

5.
This entry pairs a crystal structure of NaNCl with its simulated powder X-ray diffraction pattern. Radiation: Cu Kα, 1.54184 Å. Structure: a DFT-relaxed cell (GGA-PBE, Alexandria).

Cell and atoms:
```
NaNCl
1.0
3.9308 0.0000 0.0000
0.0031 3.9484 0.0000
0.2071 1.8433 11.4305
Na N Cl
2 2 2
Direct
0.2442 0.1964 0.1183 Na
0.7558 0.8036 0.8817 Na
0.2664 0.3254 0.3598 N
0.7336 0.6746 0.6402 N
0.2556 0.3074 0.8707 Cl
0.7444 0.6926 0.1293 Cl
```

Principal peaks in the range 2θ from 10° to 90°, most intense first:
32.35°, I = 1000; 31.30°, I = 516; 23.35°, I = 191; 43.13°, I = 177; 42.55°, I = 177; 46.20°, I = 154; 32.48°, I = 153; 56.34°, I = 125; 25.53°, I = 122; 47.98°, I = 112

6.
This entry pairs a crystal structure of Na3N2Cl2 with its simulated powder X-ray diffraction pattern. Radiation: Cu Kα, 1.54184 Å. Structure: a DFT-relaxed cell (GGA-PBE, Alexandria).

Cell and atoms:
```
Na3N2Cl2
1.0
4.0288 0.0000 0.0000
0.1869 4.0335 0.0000
1.6132 1.5827 8.5623
Na N Cl
3 2 2
Direct
0.0000 0.0000 0.0000 Na
0.3086 0.3127 0.3360 Na
0.6914 0.6873 0.6640 Na
0.3968 0.3986 0.0335 N
0.6032 0.6014 0.9665 N
0.1873 0.1835 0.6674 Cl
0.8127 0.8165 0.3326 Cl
```

Principal peaks in the range 2θ from 10° to 90°, most intense first:
31.34°, I = 1000; 32.14°, I = 990; 30.74°, I = 900; 45.42°, I = 312; 45.58°, I = 310; 46.24°, I = 291; 45.01°, I = 280; 45.13°, I = 271; 42.65°, I = 264; 54.39°, I = 240

7.
This entry pairs a crystal structure of Na2Nd4NCl9O with its simulated powder X-ray diffraction pattern. Radiation: Cu Kα, 1.54184 Å. Structure: a DFT-relaxed cell (GGA-PBE, Alexandria).

Cell and atoms:
```
Na2Nd4NCl9O
1.0
8.1984 0.0000 0.0000
0.0000 11.4059 0.0000
-2.7795 0.0000 9.0323
Na Nd N Cl O
4 8 2 18 2
Direct
0.2229 0.0000 0.4287 Na
0.2255 0.4644 0.4294 Na
0.7745 0.9644 0.5706 Na
0.7771 0.5000 0.5713 Na
0.2773 0.9450 0.9518 Nd
0.2864 0.5358 0.9536 Nd
0.3846 0.2337 0.7809 Nd
0.4041 0.2337 0.1709 Nd
0.5959 0.7337 0.8291 Nd
0.6154 0.7337 0.2191 Nd
0.7136 0.0358 0.0464 Nd
0.7227 0.4450 0.0482 Nd
0.4362 0.1120 0.9845 N
0.5638 0.6120 0.0155 N
0.0959 0.0704 0.6847 Cl
0.1005 0.3965 0.6928 Cl
0.1069 0.0842 0.1224 Cl
0.1107 0.3876 0.1170 Cl
0.2334 0.7358 0.7459 Cl
0.2565 0.7358 0.1429 Cl
0.3466 0.2318 0.4648 Cl
0.4957 0.4874 0.6959 Cl
0.4959 0.9800 0.6966 Cl
0.5041 0.4800 0.3034 Cl
0.5043 0.9874 0.3041 Cl
0.6534 0.7318 0.5352 Cl
0.7435 0.2358 0.8571 Cl
0.7666 0.2358 0.2541 Cl
0.8893 0.8876 0.8830 Cl
0.8931 0.5842 0.8776 Cl
0.8995 0.8965 0.3072 Cl
0.9041 0.5704 0.3153 Cl
0.4417 0.3633 0.9854 O
0.5583 0.8633 0.0146 O
```

Principal peaks in the range 2θ from 10° to 90°, most intense first:
25.13°, I = 1000; 11.29°, I = 982; 32.58°, I = 589; 33.67°, I = 583; 32.82°, I = 556; 35.24°, I = 437; 12.59°, I = 401; 30.71°, I = 336; 31.37°, I = 285; 33.44°, I = 276

8.
This entry pairs a crystal structure of NbN2Cl6 with its simulated powder X-ray diffraction pattern. Radiation: Cu Kα, 1.54184 Å. Structure: a DFT-relaxed cell (GGA-PBE, Alexandria).

Cell and atoms:
```
NbN2Cl6
1.0
0.0000 5.1142 5.1142
5.1142 0.0000 5.1142
5.1142 5.1142 0.0000
Nb N Cl
1 2 6
Direct
0.0000 0.0000 0.0000 Nb
0.2500 0.2500 0.2500 N
0.7500 0.7500 0.7500 N
0.2321 0.2321 0.7679 Cl
0.2321 0.7679 0.2321 Cl
0.2321 0.7679 0.7679 Cl
0.7679 0.2321 0.2321 Cl
0.7679 0.2321 0.7679 Cl
0.7679 0.7679 0.2321 Cl
```

Principal peaks in the range 2θ from 10° to 90°, most intense first:
15.00°, I = 1000; 17.34°, I = 747; 35.09°, I = 656; 50.47°, I = 391; 28.95°, I = 315; 39.40°, I = 314; 30.27°, I = 257; 46.11°, I = 241; 52.96°, I = 196; 53.77°, I = 154

9.
This entry pairs a crystal structure of NbSNCl6 with its simulated powder X-ray diffraction pattern. Radiation: Cu Kα, 1.54184 Å. Structure: a DFT-relaxed cell (GGA-PBE, Alexandria).

Cell and atoms:
```
NbSNCl6
1.0
6.8570 0.0000 0.0000
1.7857 12.7665 0.0000
2.6270 1.5301 13.1550
Nb S N Cl
4 4 4 24
Direct
0.0450 0.0327 0.2253 Nb
0.1085 0.4615 0.7248 Nb
0.8915 0.5385 0.2752 Nb
0.9550 0.9673 0.7747 Nb
0.0879 0.3069 0.5196 S
0.4145 0.2229 0.1873 S
0.5855 0.7771 0.8127 S
0.9121 0.6931 0.4804 S
0.0635 0.3748 0.6000 N
0.2852 0.1391 0.2200 N
0.7148 0.8609 0.7800 N
0.9365 0.6252 0.4000 N
0.0641 0.8453 0.9066 Cl
0.1094 0.6544 0.1808 Cl
0.1201 0.8480 0.6580 Cl
0.1400 0.5569 0.8513 Cl
0.1777 0.9279 0.3599 Cl
0.1926 0.4221 0.3135 Cl
0.2049 0.0703 0.7691 Cl
0.2868 0.5597 0.5845 Cl
0.2986 0.9542 0.1078 Cl
0.3608 0.2042 0.4997 Cl
0.3891 0.3425 0.7416 Cl
0.3948 0.3109 0.0447 Cl
0.6052 0.6891 0.9553 Cl
0.6109 0.6575 0.2584 Cl
0.6392 0.7958 0.5003 Cl
0.7014 0.0458 0.8922 Cl
0.7132 0.4403 0.4155 Cl
0.7951 0.9297 0.2309 Cl
0.8074 0.5779 0.6865 Cl
0.8223 0.0721 0.6401 Cl
0.8600 0.4431 0.1487 Cl
0.8799 0.1520 0.3420 Cl
0.8906 0.3456 0.8192 Cl
0.9359 0.1547 0.0934 Cl
```

Principal peaks in the range 2θ from 10° to 90°, most intense first:
13.25°, I = 1000; 13.46°, I = 962; 17.13°, I = 865; 18.15°, I = 627; 18.28°, I = 565; 13.97°, I = 380; 20.55°, I = 348; 29.58°, I = 328; 24.95°, I = 323; 27.87°, I = 256

10.
This entry pairs a crystal structure of Nd5N4Cl with its simulated powder X-ray diffraction pattern. Radiation: Cu Kα, 1.54184 Å. Structure: a DFT-relaxed cell (GGA-PBE, Alexandria).

Cell and atoms:
```
Nd5N4Cl
1.0
6.1824 -1.8427 0.0000
6.1824 1.8427 0.0000
-4.7126 0.0000 8.1218
Nd N Cl
5 4 1
Direct
0.0000 0.0000 0.0000 Nd
0.2109 0.2109 0.8250 Nd
0.3894 0.3894 0.6306 Nd
0.6106 0.6106 0.3694 Nd
0.7891 0.7891 0.1750 Nd
0.1994 0.1994 0.2974 N
0.4003 0.4003 0.1013 N
0.5997 0.5997 0.8987 N
0.8006 0.8006 0.7026 N
0.0000 0.0000 0.5000 Cl
```

Principal peaks in the range 2θ from 10° to 90°, most intense first:
29.49°, I = 1000; 33.97°, I = 717; 33.76°, I = 376; 28.52°, I = 286; 49.26°, I = 255; 48.03°, I = 205; 58.06°, I = 151; 58.63°, I = 146; 61.23°, I = 137; 49.46°, I = 137

11.
This entry pairs a crystal structure of Nd3N2Cl with its simulated powder X-ray diffraction pattern. Radiation: Cu Kα, 1.54184 Å. Structure: a DFT-relaxed cell (GGA-PBE, Alexandria).

Cell and atoms:
```
Nd3N2Cl
1.0
3.6985 0.0000 0.0000
-1.8493 3.2030 0.0000
0.0000 0.0000 20.0051
Nd N Cl
6 4 2
Direct
0.0000 0.0000 0.0000 Nd
0.0000 0.0000 0.5000 Nd
0.3333 0.6667 0.1376 Nd
0.3333 0.6667 0.3624 Nd
0.6667 0.3333 0.6376 Nd
0.6667 0.3333 0.8624 Nd
0.3333 0.6667 0.5793 N
0.3333 0.6667 0.9207 N
0.6667 0.3333 0.0793 N
0.6667 0.3333 0.4207 N
0.0000 0.0000 0.2500 Cl
0.0000 0.0000 0.7500 Cl
```

Principal peaks in the range 2θ from 10° to 90°, most intense first:
33.22°, I = 1000; 35.91°, I = 668; 28.22°, I = 466; 49.28°, I = 378; 62.46°, I = 332; 49.94°, I = 219; 29.28°, I = 200; 60.72°, I = 170; 81.87°, I = 145; 30.97°, I = 129